Simulated powder XRD pattern
Compound: Rb2NiP4H8O16
Radiation: Cu Ka
Structure: DFT lattice parameters and positions (GGA+U)

Largest 6 diffraction maxima, low angle first, 15 to 90 degrees two-theta:
- hkl 0 2 0, 3.692 Å, 2θ = 24.1°, I 97
- hkl 0 0 2, 3.663 Å, 2θ = 24.3°, I 70
- hkl 1 1 -1, 3.630 Å, 2θ = 24.5°, I 97
- hkl 2 1 1, 3.241 Å, 2θ = 27.5°, I 68
- hkl 2 -1 0, 3.046 Å, 2θ = 29.3°, I 100
- hkl 2 1 2, 2.868 Å, 2θ = 31.2°, I 62

Structural model:
```
data_Rb2NiP4H8O16
_symmetry_space_group_name_H-M 'P -1'
_symmetry_Int_Tables_number 2
_cell_length_a 7.065
_cell_length_b 7.453
_cell_length_c 7.770
_cell_angle_alpha 82.19
_cell_angle_beta 71.92
_cell_angle_gamma 87.08
loop_
_symmetry_equiv_pos_as_xyz
'x,y,z'
'-x,-y,-z'
loop_
_atom_site_label
_atom_site_type_symbol
_atom_site_fract_x
_atom_site_fract_y
_atom_site_fract_z
_atom_site_occupancy
Rb1 Rb 0.102 0.219 0.293 1
Ni1 Ni 0.500 0.000 0.500 1
P1 P 0.246 0.301 0.754 1
P2 P 0.342 0.760 0.243 1
H1 H 0.071 0.765 0.085 1
H2 H 0.261 0.534 0.468 1
H3 H 0.377 0.814 0.849 1
H4 H 0.380 0.681 0.705 1
O1 O 0.062 0.278 0.931 1
O2 O 0.252 0.569 0.335 1
O3 O 0.257 0.156 0.632 1
O4 O 0.261 0.495 0.659 1
O5 O 0.263 0.825 0.085 1
O6 O 0.311 0.887 0.387 1
O7 O 0.421 0.271 0.851 1
O8 O 0.441 0.792 0.721 1
```